# 1
Diffraction record for HoZnPdO4. The powder diffractogram is simulated, not measured: it uses a structure optimized by DFT (GGA-PBE) and Cu Kα (λ = 1.5418 Å).
Kinematic intensities with the Lorentz-polarization factor, no thermal factor.

Top 8 peaks for 5 to 70 degrees two-theta, low angle first:
d 5.153, intensity 60
d 2.786, intensity 100
d 2.742, intensity 50
d 2.624, intensity 77
d 2.577, intensity 42
d 2.307, intensity 45
d 1.761, intensity 29
d 1.574, intensity 65

Structural model:
```
14
Lattice="-3.2153 3.3110 4.3076 3.2153 -3.3110 4.3076 3.2153 3.3110 -4.3076" Properties=species:S:1:pos:R:3 pbc="T T T"
Ho 0.0000 0.0000 0.0000
Ho 0.0000 3.3110 0.0000
Zn 3.2153 1.6555 0.9652
Zn 0.0000 1.6555 3.3424
Pd 1.6077 1.6555 -2.1538
Pd 1.6077 -1.6555 2.1538
O 3.2153 -0.1323 2.0487
O 1.5162 1.6555 -0.0673
O 3.2153 3.1787 -2.0487
O 1.6991 -1.6555 4.2403
O 1.5162 4.9664 0.0673
O 0.0000 0.1323 6.3563
O 1.6991 1.6555 4.3749
O 0.0000 3.4432 2.2589
```

---

# 2
Diffraction record for Tl2Co. The powder diffractogram is simulated, not measured: it uses a structure optimized by DFT (GGA-PBE) and Cu Kα (λ = 1.5418 Å).
Kinematic intensities with the Lorentz-polarization factor, no thermal factor.

Top 8 peaks for 5 to 70 degrees two-theta, low angle first:
d 3.221, intensity 96
d 2.859, intensity 41
d 2.469, intensity 100
d 2.211, intensity 32
d 2.126, intensity 28
d 1.610, intensity 20
d 1.561, intensity 20
d 1.429, intensity 18

Structural model:
```
12
Lattice="8.5031 0.0000 0.0000 0.0000 3.1901 0.0000 0.0000 0.0000 9.8675" Properties=species:S:1:pos:R:3 pbc="T T T"
Tl 8.4993 0.7975 2.4568
Tl 0.0038 2.3925 7.4107
Tl 2.1130 0.7975 5.0837
Tl 2.1386 2.3925 0.1500
Tl 4.2478 0.7975 2.4769
Tl 4.2553 2.3925 7.3906
Tl 6.3645 0.7975 9.7175
Tl 6.3901 2.3925 4.7838
Co 2.1200 2.3925 2.8437
Co 2.1315 0.7975 7.7774
Co 6.3716 2.3925 2.0901
Co 6.3831 0.7975 7.0238
```

---

# 3
Diffraction record for CaMo5. The powder diffractogram is simulated, not measured: it uses a structure optimized by DFT (GGA-PBE) and Cu Kα (λ = 1.5418 Å).
Kinematic intensities with the Lorentz-polarization factor, no thermal factor.

Top 8 peaks for 5 to 70 degrees two-theta, low angle first:
d 6.819, intensity 8
d 3.903, intensity 5
d 2.380, intensity 29
d 2.290, intensity 100
d 2.273, intensity 23
d 1.644, intensity 16
d 1.595, intensity 8
d 1.356, intensity 18

Structural model:
```
6
Lattice="1.5954 -6.8189 0.0000 1.5954 6.8189 0.0000 0.0000 0.0000 4.7605" Properties=species:S:1:pos:R:3 pbc="T T T"
Ca 0.0000 0.0000 0.0000
Mo 1.5954 4.5651 2.3803
Mo 1.5954 2.4491 0.0000
Mo 1.5954 0.0000 2.3803
Mo 1.5954 -2.4491 0.0000
Mo 1.5954 -4.5651 2.3803
```